Diffraction record for Mn2V3Mo2. The X-ray diffraction stick pattern is simulated, not measured: it uses a cell relaxed with PBE and CuKα.
Kinematic intensities with the Lorentz-polarization factor, no thermal factor.

The 10 most intense peaks (2θ = 10–80°), by angle:
2θ 10.06, rel. 15
2θ 33.51, rel. 15
2θ 38.11, rel. 11
2θ 40.98, rel. 25
2θ 42.13, rel. 100
2θ 42.51, rel. 12
2θ 43.70, rel. 13
2θ 43.97, rel. 35
2θ 45.72, rel. 10
2θ 49.85, rel. 13

Cell and atoms:
```
Mn2V3Mo2
1.0
2.6069 0.0000 0.0000
-0.0025 4.1187 0.0000
-1.1021 -2.0399 8.7901
Mn V Mo
2 3 2
Cartesian
0.4402 0.0000 1.1005 Mn
1.0621 2.0789 7.6896 Mn
-0.5905 0.0122 6.4633 V
1.3022 2.0594 0.0000 V
2.0928 2.0666 2.3268 V
0.3559 0.0088 3.7171 Mo
1.1464 2.0701 5.0730 Mo
```